# 1
Diffraction record for Na2PtF4. The powder XRD pattern is calculated, not measured: it uses a structure optimized by DFT (PBE) and a wavelength of 1.5418 Å.
Peak positions follow from Bragg's law for the DFT cell and can differ from measured ones.

Main lines, sorted by position (15° ≤ 2θ ≤ 90°):
2θ/deg, Rel. int., hkl
20.9, 100, 1 0 1
21.9, 24, 1 1 0
28.1, 16, 0 0 2
31.2, 13, 2 0 0
35.9, 40, 1 1 2
37.8, 43, 2 1 1
44.7, 18, 2 2 0
45.7, 13, 1 0 3
56.4, 14, 2 1 3
58.6, 19, 3 1 2

Structural model:
```
data_Na2PtF4
_symmetry_space_group_name_H-M 'I 4/m m m'
_symmetry_Int_Tables_number 139
_symmetry_space_group_name_Hall '-I 4 2'
_cell_length_a 5.7382
_cell_length_b 5.7382
_cell_length_c 6.3439
_cell_angle_alpha 90.00
_cell_angle_beta 90.00
_cell_angle_gamma 90.00
loop_
_atom_site_label
_atom_site_fract_x
_atom_site_fract_y
_atom_site_fract_z
Na1 0.0000 0.5000 0.2500
Pt1 0.0000 0.0000 0.0000
F1 0.2462 0.2462 0.0000
```



# 2
Diffraction record for VSnPt. The powder XRD pattern is calculated, not measured: it uses a structure optimized by DFT (PBE) and a wavelength of 1.5418 Å.
Peak positions follow from Bragg's law for the DFT cell and can differ from measured ones.

Main lines, sorted by position (15° ≤ 2θ ≤ 90°):
2θ/deg, Rel. int., hkl
30.7, 68, 1 0 3
34.3, 16, 1 0 5
39.2, 100, 1 0 7
40.7, 63, 1 1 0
45.0, 20, 1 0 9
58.9, 21, 2 0 0
63.1, 15, 1 1 12
66.3, 13, 1 0 15
67.9, 15, 2 1 3
73.0, 32, 2 1 7

Structural model:
```
data_VSnPt
_symmetry_space_group_name_H-M 'I 4/m m m'
_symmetry_Int_Tables_number 139
_symmetry_space_group_name_Hall '-I 4 2'
_cell_length_a 3.1371
_cell_length_b 3.1371
_cell_length_c 23.6567
_cell_angle_alpha 90.00
_cell_angle_beta 90.00
_cell_angle_gamma 90.00
loop_
_atom_site_label
_atom_site_fract_x
_atom_site_fract_y
_atom_site_fract_z
V1 0.0000 0.0000 0.2194
Sn1 0.0000 0.0000 0.0743
Pt1 0.0000 0.0000 0.3398
```



# 3
Diffraction record for Ca2Ac6Pr5. The powder XRD pattern is calculated, not measured: it uses a structure optimized by DFT (PBE) and a wavelength of 1.5418 Å.
Peak positions follow from Bragg's law for the DFT cell and can differ from measured ones.

Main lines, sorted by position (15° ≤ 2θ ≤ 90°):
2θ/deg, Rel. int., hkl
16.1, 19, 0 4 0
27.1, 35, 2 0 1
28.3, 68, 4 1 0
29.3, 100, 1 7 0
29.8, 72, 2 3 1
30.6, 22, 4 3 0
31.7, 45, 2 4 1
32.3, 23, 3 6 0
33.8, 20, 3 3 1
52.0, 22, 6 4 1

Structural model:
```
data_Ca2Ac6Pr5
_symmetry_space_group_name_H-M 'P b a m'
_symmetry_Int_Tables_number 55
_symmetry_space_group_name_Hall '-P 2 2ab'
_cell_length_a 12.7332
_cell_length_b 21.9861
_cell_length_c 3.8452
_cell_angle_alpha 90.00
_cell_angle_beta 90.00
_cell_angle_gamma 90.00
loop_
_atom_site_label
_atom_site_fract_x
_atom_site_fract_y
_atom_site_fract_z
Ca1 0.1659 0.2116 0.0000
Ac1 0.0511 0.9186 0.0000
Ac2 0.0803 0.6329 0.0000
Ac3 0.1847 0.3707 0.5000
Pr1 0.0000 0.5000 0.5000
Pr2 0.0891 0.7738 0.5000
Pr3 0.2051 0.0504 0.5000
```



# 4
Diffraction record for Na2Te4Pd5. The powder XRD pattern is calculated, not measured: it uses a structure optimized by DFT (PBE) and a wavelength of 1.5418 Å.
Peak positions follow from Bragg's law for the DFT cell and can differ from measured ones.

Main lines, sorted by position (15° ≤ 2θ ≤ 90°):
2θ/deg, Rel. int., hkl
17.8, 100, 1 1 1
26.5, 33, 1 3 1
31.4, 68, 1 3 3
36.6, 83, 0 4 4
39.3, 63, 2 0 4
39.7, 38, 1 3 5
41.8, 58, 2 2 4
42.0, 32, 2 4 0
48.2, 35, 0 0 8
53.1, 33, 2 6 0

Structural model:
```
data_Na2Te4Pd5
_symmetry_space_group_name_H-M 'F m m m'
_symmetry_Int_Tables_number 69
_symmetry_space_group_name_Hall '-F 2 2'
_cell_length_a 5.7621
_cell_length_b 12.9238
_cell_length_c 15.1002
_cell_angle_alpha 90.00
_cell_angle_beta 90.00
_cell_angle_gamma 90.00
loop_
_atom_site_label
_atom_site_fract_x
_atom_site_fract_y
_atom_site_fract_z
Na1 0.0000 0.0000 0.1236
Te1 0.0000 0.1491 0.3759
Pd1 0.0000 0.0000 0.5000
Pd2 0.2500 0.2500 0.0000
Pd3 0.2500 0.2500 0.2500
```



# 5
Diffraction record for CeEr8Tm2. The powder XRD pattern is calculated, not measured: it uses a structure optimized by DFT (PBE) and a wavelength of 1.5418 Å.
Peak positions follow from Bragg's law for the DFT cell and can differ from measured ones.

Main lines, sorted by position (15° ≤ 2θ ≤ 90°):
2θ/deg, Rel. int., hkl
30.2, 24, 1 1 4
32.6, 100, 1 2 3
32.9, 17, 1 0 5
33.0, 34, 2 0 0
34.2, 25, 0 0 6
48.3, 19, 2 0 6
57.2, 15, 2 4 0
58.7, 19, 3 2 3
64.2, 10, 2 3 7
65.3, 11, 1 5 4

Structural model:
```
data_CeEr8Tm2
_symmetry_space_group_name_H-M 'I m m m'
_symmetry_Int_Tables_number 71
_symmetry_space_group_name_Hall '-I 2 2'
_cell_length_a 5.4259
_cell_length_b 7.9933
_cell_length_c 15.7318
_cell_angle_alpha 90.00
_cell_angle_beta 90.00
_cell_angle_gamma 90.00
loop_
_atom_site_label
_atom_site_fract_x
_atom_site_fract_y
_atom_site_fract_z
Ce1 0.0000 0.0000 0.0000
Er1 0.0000 0.2086 0.5000
Er2 0.0000 0.2912 0.1389
Er3 0.0000 0.5000 0.3366
Tm1 0.0000 0.0000 0.3005
```



# 6
Diffraction record for Cs5H4. The powder XRD pattern is calculated, not measured: it uses a structure optimized by DFT (PBE) and a wavelength of 1.5418 Å.
Peak positions follow from Bragg's law for the DFT cell and can differ from measured ones.

Main lines, sorted by position (15° ≤ 2θ ≤ 90°):
2θ/deg, Rel. int., hkl
22.3, 66, 3 1 0
25.5, 100, 1 2 1
31.8, 25, 2 4 0
32.6, 9, 2 3 1
40.4, 8, 0 0 2
41.2, 36, 5 0 1
46.6, 18, 3 1 2
52.3, 12, 2 4 2
63.1, 12, 4 7 1
64.8, 7, 1 2 3

Structural model:
```
data_Cs5H4
_symmetry_space_group_name_H-M 'I 4/m'
_symmetry_Int_Tables_number 87
_symmetry_space_group_name_Hall '-I 4'
_cell_length_a 12.5839
_cell_length_b 12.5839
_cell_length_c 4.4653
_cell_angle_alpha 90.00
_cell_angle_beta 90.00
_cell_angle_gamma 90.00
loop_
_atom_site_label
_atom_site_fract_x
_atom_site_fract_y
_atom_site_fract_z
Cs1 0.0000 0.0000 0.0000
Cs2 0.0881 0.7333 0.5000
H1 0.1095 0.2077 0.0000
```



# 7
Diffraction record for TbPr2SmTh. The powder XRD pattern is calculated, not measured: it uses a structure optimized by DFT (PBE) and a wavelength of 1.5418 Å.
Peak positions follow from Bragg's law for the DFT cell and can differ from measured ones.

Main lines, sorted by position (15° ≤ 2θ ≤ 90°):
2θ/deg, Rel. int., hkl
24.4, 26, 1 1 1
29.8, 86, 1 1 -2
30.5, 53, 1 2 1
30.7, 100, 2 1 -1
31.5, 54, 0 3 0
34.0, 27, 1 0 2
34.7, 34, 1 3 0
35.1, 50, 1 2 -2
35.7, 44, 2 2 0
54.8, 20, 3 3 0

Structural model:
```
data_TbPr2SmTh
_symmetry_space_group_name_H-M 'P 1 2/c 1'
_symmetry_Int_Tables_number 13
_symmetry_space_group_name_Hall '-P 2yc'
_cell_length_a 6.3937
_cell_length_b 8.5306
_cell_length_c 6.6714
_cell_angle_alpha 90.00
_cell_angle_beta 103.52
_cell_angle_gamma 90.00
loop_
_atom_site_label
_atom_site_fract_x
_atom_site_fract_y
_atom_site_fract_z
Tb1 0.0000 0.0834 0.2500
Pr1 0.2151 0.3263 0.6558
Sm1 0.5000 0.3369 0.2500
Th1 0.5000 0.0000 0.0000
```



# 8
Diffraction record for LiTaCoH2. The powder XRD pattern is calculated, not measured: it uses a structure optimized by DFT (PBE) and a wavelength of 1.5418 Å.
Peak positions follow from Bragg's law for the DFT cell and can differ from measured ones.

Main lines, sorted by position (15° ≤ 2θ ≤ 90°):
2θ/deg, Rel. int., hkl
19.2, 23, 0 0 1
25.2, 100, 1 0 0
31.9, 24, 1 0 1
35.9, 42, 1 1 0
39.1, 18, 0 0 2
47.1, 37, 1 0 2
51.7, 15, 2 0 0
54.1, 26, 1 1 2
58.4, 19, 2 1 0
72.5, 20, 2 1 2

Structural model:
```
data_LiTaCoH2
_symmetry_space_group_name_H-M 'P 4/m m m'
_symmetry_Int_Tables_number 123
_symmetry_space_group_name_Hall '-P 4 2'
_cell_length_a 3.5349
_cell_length_b 3.5349
_cell_length_c 4.6111
_cell_angle_alpha 90.00
_cell_angle_beta 90.00
_cell_angle_gamma 90.00
loop_
_atom_site_label
_atom_site_fract_x
_atom_site_fract_y
_atom_site_fract_z
Li1 0.0000 0.0000 0.0000
Ta1 0.5000 0.5000 0.0000
Co1 0.5000 0.5000 0.5000
H1 0.0000 0.5000 0.5000
```



# 9
Diffraction record for Ta4CrSe8. The powder XRD pattern is calculated, not measured: it uses a structure optimized by DFT (PBE) and a wavelength of 1.5418 Å.
Peak positions follow from Bragg's law for the DFT cell and can differ from measured ones.

Main lines, sorted by position (15° ≤ 2θ ≤ 90°):
2θ/deg, Rel. int., hkl
29.7, 20, 2 0 0
30.5, 28, 2 0 1
32.9, 73, 2 0 2
36.5, 22, 2 0 3
41.2, 100, 2 0 4
52.5, 15, 2 0 6
52.7, 40, 2 2 0
54.8, 14, 2 2 2
69.0, 21, 4 0 4
81.8, 21, 2 2 8

Structural model:
```
data_Ta4CrSe8
_symmetry_space_group_name_H-M 'P 63/m m c'
_symmetry_Int_Tables_number 194
_symmetry_space_group_name_Hall '-P 6c 2c'
_cell_length_a 6.9451
_cell_length_b 6.9451
_cell_length_c 12.8270
_cell_angle_alpha 90.00
_cell_angle_beta 90.00
_cell_angle_gamma 120.00
loop_
_atom_site_label
_atom_site_fract_x
_atom_site_fract_y
_atom_site_fract_z
Ta1 0.0000 0.0000 0.2500
Ta2 0.0178 0.5089 0.2500
Cr1 0.0000 0.0000 0.0000
Se1 0.1683 0.3365 0.6206
Se2 0.3333 0.6667 0.1137
```



# 10
Diffraction record for Ho2Zr2O7. The powder XRD pattern is calculated, not measured: it uses a structure optimized by DFT (PBE) and a wavelength of 1.5418 Å.
Peak positions follow from Bragg's law for the DFT cell and can differ from measured ones.

Main lines, sorted by position (15° ≤ 2θ ≤ 90°):
2θ/deg, Rel. int., hkl
28.0, 3, 3 1 1
29.3, 100, 2 2 2
34.0, 32, 4 0 0
37.1, 7, 3 3 1
48.8, 49, 4 4 0
57.9, 43, 6 2 2
60.8, 9, 4 4 4
71.5, 7, 8 0 0
79.1, 17, 6 6 2
81.6, 13, 8 4 0

Structural model:
a b c (Å): 10.5577 10.5577 10.5577
angles (deg): 90.00 90.00 90.00
Space group Fd-3m (No. 227, origin choice 2)
Symmetry-distinct sites (fractional):
Ho: 0.0000 0.0000 0.0000 [16 per cell]
Zr: 0.0000 0.0000 0.5000 [16 per cell]
O: 0.0921 0.3750 0.8750 [48 per cell]
O: 0.1250 0.1250 0.1250 [8 per cell]